Diffraction record for Ag2Bi2SeSO2. The powder diffractogram is simulated, not measured: it uses the PBE geometry in OQMD and Cu Kα, 1.54184 Å.
Kinematic intensities with the Lorentz-polarization factor, no thermal factor.

Principal peaks in the range 10° ≤ 2θ ≤ 90°, by angle:
Position (°2θ)	intensity	h k l
24.21	27.4	1 0 1
29.41	100.0	1 0 2
33.10	60.8	1 1 1
36.59	22.9	1 0 3
37.18	37.3	1 1 2
45.36	40.9	2 0 0
50.72	36.6	1 1 4
54.98	35.6	2 1 2

```
data_Ag2Bi2SeSO2
_chemical_formula_sum 'Ag2 Bi2 Se1 S1 O2'
_cell_length_a 3.9989
_cell_length_b 3.9989
_cell_length_c 9.3358
_cell_angle_alpha 90.00
_cell_angle_beta 90.00
_cell_angle_gamma 90.00
_space_group_name_H-M_alt 'P 4 m m'
_space_group_IT_number 99
_space_group_name_Hall 'P 4 -2'
loop_
_atom_site_label
_atom_site_fract_x
_atom_site_fract_y
_atom_site_fract_z
Ag1 0.0000 0.5000 0.0000
Bi1 0.0000 0.0000 0.3537
Bi2 0.5000 0.5000 0.6222
Se1 0.0000 0.0000 0.7900
S1 0.5000 0.5000 0.1909
O1 0.0000 0.5000 0.4865
```